Theoretical powder X-ray diffraction pattern of ErCu3Te3 for a wavelength of 1.5418 Å, from a cell relaxed with PBE.
Kinematic intensities with the Lorentz-polarization factor, no thermal factor.

The 10 most intense peaks (10° ≤ 2θ ≤ 90°), in order of rising 2θ:
2θ/deg	d/Å	intensity
14.36	6.169	14
27.12	3.288	100
35.22	2.548	88
41.99	2.152	90
45.97	1.974	54
50.70	1.800	17
55.93	1.644	24
64.01	1.455	19
72.30	1.307	32
79.54	1.205	19

Structure:
```
ErCu3Te3
1.0
3.7269 2.1517 6.9822
-3.7269 2.1517 6.9822
0.0000 -4.3035 6.9822
Er Cu Te
2 6 6
Direct
0.1662 0.1662 0.1662 Er
0.8338 0.8338 0.8338 Er
0.0262 0.3719 0.7266 Cu
0.2734 0.9738 0.6281 Cu
0.3719 0.7266 0.0262 Cu
0.6281 0.2734 0.9738 Cu
0.7266 0.0262 0.3719 Cu
0.9738 0.6281 0.2734 Cu
0.0964 0.7386 0.4198 Te
0.2614 0.5802 0.9036 Te
0.4198 0.0964 0.7386 Te
0.5802 0.9036 0.2614 Te
0.7386 0.4198 0.0964 Te
0.9036 0.2614 0.5802 Te
```


Theoretical powder X-ray diffraction pattern of Cd2Os2O7 for a wavelength of 1.5418 Å, from a cell relaxed with PBE.
Kinematic intensities with the Lorentz-polarization factor, no thermal factor.

The 10 most intense peaks (10° ≤ 2θ ≤ 90°), in order of rising 2θ:
2θ/deg	d/Å	intensity
14.88	5.952	10
28.72	3.108	7
30.03	2.976	100
34.81	2.577	37
50.05	1.822	42
59.48	1.554	43
62.41	1.488	11
73.49	1.289	6
81.38	1.183	18
83.96	1.153	16

Structure:
```
Cd2Os2O7
1.0
0.0000 5.1544 5.1544
5.1544 0.0000 5.1544
5.1544 5.1544 0.0000
Cd Os O
4 4 14
Direct
0.0000 0.0000 0.0000 Cd
0.0000 0.0000 0.5000 Cd
0.0000 0.5000 0.0000 Cd
0.5000 0.0000 0.0000 Cd
0.0000 0.5000 0.5000 Os
0.5000 0.0000 0.5000 Os
0.5000 0.5000 0.0000 Os
0.5000 0.5000 0.5000 Os
0.1250 0.1250 0.1250 O
0.1826 0.1826 0.5674 O
0.1826 0.5674 0.1826 O
0.1826 0.5674 0.5674 O
0.4326 0.4326 0.8174 O
0.4326 0.8174 0.4326 O
0.4326 0.8174 0.8174 O
0.5674 0.1826 0.1826 O
0.5674 0.1826 0.5674 O
0.5674 0.5674 0.1826 O
0.8174 0.4326 0.4326 O
0.8174 0.4326 0.8174 O
0.8174 0.8174 0.4326 O
0.8750 0.8750 0.8750 O
```


Theoretical powder X-ray diffraction pattern of LiBiCSO7 for a wavelength of 1.5418 Å, from a cell relaxed with PBE.
Kinematic intensities with the Lorentz-polarization factor, no thermal factor.

The 10 most intense peaks (10° ≤ 2θ ≤ 90°), in order of rising 2θ:
2θ/deg	d/Å	intensity
15.94	5.559	85
18.81	4.717	64
19.06	4.656	39
20.70	4.291	66
25.14	3.542	29
25.54	3.488	100
31.91	2.804	25
35.77	2.511	26
36.16	2.484	26
39.12	2.303	27

Structure:
```
LiBiCSO7
1.0
5.4450 0.0000 0.0000
0.0000 6.9721 0.0000
-0.1369 0.0000 9.2086
Li Bi C S O
2 2 2 2 14
Direct
0.2313 0.0000 0.3252 Li
0.7687 0.5000 0.6748 Li
0.2770 0.7529 0.8530 Bi
0.7230 0.2529 0.1470 Bi
0.2205 0.7343 0.5647 C
0.7795 0.2343 0.4353 C
0.2249 0.2594 0.9070 S
0.7751 0.7594 0.0930 S
0.0346 0.6937 0.6533 O
0.0388 0.8038 0.1074 O
0.1929 0.7741 0.4344 O
0.2849 0.2292 0.0664 O
0.2955 0.0878 0.8207 O
0.3786 0.4223 0.8524 O
0.4400 0.7368 0.6334 O
0.5601 0.2368 0.3666 O
0.6214 0.9223 0.1476 O
0.7045 0.5878 0.1793 O
0.7151 0.7292 0.9336 O
0.8071 0.2741 0.5656 O
0.9612 0.3038 0.8926 O
0.9654 0.1937 0.3467 O
```


Theoretical powder X-ray diffraction pattern of Ho6AgGe2S14 for a wavelength of 1.5418 Å, from a cell relaxed with PBE.
Kinematic intensities with the Lorentz-polarization factor, no thermal factor.

The 10 most intense peaks (10° ≤ 2θ ≤ 90°), in order of rising 2θ:
2θ/deg	d/Å	intensity
18.45	4.808	22
20.93	4.244	21
23.71	3.753	22
25.96	3.432	100
35.82	2.507	18
36.67	2.451	46
37.41	2.404	38
38.23	2.354	22
41.35	2.183	23
51.74	1.767	36

Structure:
```
Ho6AgGe2S14
1.0
9.8022 0.0000 0.0000
-4.9011 8.4889 0.0000
0.0000 0.0000 5.8346
Ho Ag Ge S
6 1 2 14
Direct
0.0237 0.5526 0.0000 Ho
0.3094 0.1135 0.5004 Ho
0.4474 0.4711 0.0000 Ho
0.5289 0.9763 0.0000 Ho
0.8040 0.6906 0.5004 Ho
0.8865 0.1960 0.5004 Ho
0.6667 0.3333 0.7215 Ag
0.0000 0.0000 0.0770 Ge
0.3333 0.6667 0.5804 Ge
0.0000 0.0000 0.6971 S
0.0912 0.8538 0.2392 S
0.1462 0.2374 0.2392 S
0.1872 0.4294 0.7429 S
0.2421 0.8128 0.7429 S
0.3333 0.6667 0.2006 S
0.4035 0.1760 0.9518 S
0.5091 0.4350 0.4562 S
0.5650 0.0740 0.4562 S
0.5706 0.7579 0.7429 S
0.7626 0.9088 0.2392 S
0.7725 0.5965 0.9518 S
0.8240 0.2275 0.9518 S
0.9260 0.4909 0.4562 S
```